Starting from DFT lattice parameters and positions (GGA-PBE), the powder X-ray diffraction pattern of Ce2AlGa4 was simulated for λ = 1.5418 Å (Cu Kα).
Intensities are scaled so that the largest is 100.

Structure:
Cell: 6.744 6.744 3.581 Å, 90.00 90.00 90.00°
Space group P4/mmm (No. 123)
Symmetry-distinct sites (fractional):
Ce (0.000, 0.500, 0.000) [2 per cell]
Al (0.000, 0.000, 0.500) [1 per cell]
Ga (0.302, 0.302, 0.500) [4 per cell]

Principal peaks in the range 2θ from 10° to 90°, in order of rising 2θ:
2θ = 18.61°, I 56.3, (1 1 0)
2θ = 31.24°, I 73.5, (1 1 1)
2θ = 36.60°, I 100.0, (2 0 1)
2θ = 37.73°, I 47.1, (2 2 0)
2θ = 42.39°, I 30.6, (3 1 0)
2θ = 47.77°, I 14.4, (3 0 1)
2θ = 49.76°, I 18.3, (3 1 1)
2θ = 51.00°, I 14.6, (0 0 2)
2θ = 64.10°, I 20.8, (3 3 1)
2θ = 65.15°, I 18.5, (2 2 2)
2θ = 68.41°, I 14.6, (3 1 2)
2θ = 76.83°, I 15.2, (5 1 1)